The following is a calculated X-ray diffraction stick pattern of Li4AgPd2. It was derived from a DFT-relaxed cell (GGA-PBE, Alexandria), using CuKα.
Neutral-atom scattering factors, no anomalous dispersion.

The 10 most intense peaks (2θ from 10° to 80°), by intensity:
28.96°, d 3.083, intensity 100; 42.38°, d 2.133, intensity 90; 18.07°, d 4.908, intensity 69; 30.26°, d 2.953, intensity 47; 40.14°, d 2.247, intensity 37; 41.90°, d 2.156, intensity 24; 40.93°, d 2.205, intensity 22; 68.68°, d 1.367, intensity 21; 52.55°, d 1.741, intensity 19; 27.54°, d 3.239, intensity 18

```
data_Li4AgPd2
_cell_length_a 5.308
_cell_length_b 5.308
_cell_length_c 4.312
_cell_angle_alpha 90.00
_cell_angle_beta 90.00
_cell_angle_gamma 112.38
_symmetry_space_group_name_H-M 'P 1'
_symmetry_Int_Tables_number 1
loop_
_symmetry_equiv_pos_as_xyz
'x,y,z'
loop_
_atom_site_label
_atom_site_fract_x
_atom_site_fract_y
_atom_site_fract_z
Li1 0.000 0.500 0.500
Li2 0.220 0.220 0.000
Li3 0.500 0.000 0.500
Li4 0.780 0.780 0.000
Ag1 0.500 0.500 0.500
Pd1 0.272 0.728 0.000
Pd2 0.728 0.272 0.000
```

The following is a calculated X-ray diffraction stick pattern of Li3Ag5Pd. It was derived from a DFT-relaxed cell (GGA-PBE, Alexandria), using CuKα.
Neutral-atom scattering factors, no anomalous dispersion.

The 10 most intense peaks (2θ from 10° to 80°), by intensity:
39.45°, d 2.284, intensity 100; 35.51°, d 2.528, intensity 63; 23.10°, d 3.850, intensity 44; 66.41°, d 1.408, intensity 28; 42.80°, d 2.113, intensity 18; 51.10°, d 1.787, intensity 17; 24.91°, d 3.575, intensity 15; 74.05°, d 1.280, intensity 13; 28.92°, d 3.088, intensity 11; 36.11°, d 2.488, intensity 10

```
data_Li3Ag5Pd
_cell_length_a 7.800
_cell_length_b 7.800
_cell_length_c 7.800
_cell_angle_alpha 125.44
_cell_angle_beta 125.44
_cell_angle_gamma 80.81
_symmetry_space_group_name_H-M 'P 1'
_symmetry_Int_Tables_number 1
loop_
_symmetry_equiv_pos_as_xyz
'x,y,z'
loop_
_atom_site_label
_atom_site_fract_x
_atom_site_fract_y
_atom_site_fract_z
Li1 0.102 0.602 0.703
Li2 0.250 0.250 0.000
Li3 0.398 0.102 0.500
Li4 0.602 0.898 0.500
Li5 0.750 0.750 0.000
Li6 0.898 0.398 0.297
Ag1 0.000 0.000 0.000
Ag2 0.090 0.146 0.500
Ag3 0.146 0.646 0.056
Ag4 0.354 0.410 0.500
Ag5 0.410 0.910 0.056
Ag6 0.500 0.500 0.000
Ag7 0.590 0.090 0.944
Ag8 0.646 0.590 0.500
Ag9 0.854 0.354 0.944
Ag10 0.910 0.854 0.500
Pd1 0.250 0.750 0.500
Pd2 0.750 0.250 0.500
```

The following is a calculated X-ray diffraction stick pattern of Li5Ag5Pd2. It was derived from a DFT-relaxed cell (GGA-PBE, Alexandria), using CuKα.
Neutral-atom scattering factors, no anomalous dispersion.

The 10 most intense peaks (2θ from 10° to 80°), by intensity:
40.34°, d 2.236, intensity 100; 40.18°, d 2.244, intensity 69; 21.75°, d 4.087, intensity 43; 41.02°, d 2.200, intensity 33; 28.47°, d 3.136, intensity 26; 23.22°, d 3.831, intensity 24; 58.91°, d 1.568, intensity 20; 73.13°, d 1.294, intensity 20; 39.66°, d 2.272, intensity 19; 26.68°, d 3.341, intensity 16

```
data_Li5Ag5Pd2
_cell_length_a 7.055
_cell_length_b 7.055
_cell_length_c 7.790
_cell_angle_alpha 122.75
_cell_angle_beta 122.75
_cell_angle_gamma 36.34
_symmetry_space_group_name_H-M 'P 1'
_symmetry_Int_Tables_number 1
loop_
_symmetry_equiv_pos_as_xyz
'x,y,z'
loop_
_atom_site_label
_atom_site_fract_x
_atom_site_fract_y
_atom_site_fract_z
Li1 0.000 0.000 0.000
Li2 0.074 0.074 0.738
Li3 0.251 0.251 0.279
Li4 0.749 0.749 0.721
Li5 0.926 0.926 0.262
Ag1 0.320 0.320 0.996
Ag2 0.420 0.420 0.762
Ag3 0.500 0.500 0.500
Ag4 0.580 0.580 0.238
Ag5 0.680 0.680 0.004
Pd1 0.165 0.165 0.512
Pd2 0.835 0.835 0.488
```